Simulated X-ray diffraction stick pattern of AcNd8Ga6 for λ = 1.5418 Å (Cu Kα), from a DFT-relaxed cell (PBE, Alexandria).

Most intense lines, 2θ = 5–70°, most intense first:
2theta  d [Å]  I/Imax
34.32  2.613  100
34.73  2.583  98
24.22  3.674  73
61.73  1.503  36
49.63  1.837  35
61.47  1.509  18
62.51  1.486  17
42.45  2.129  17
55.69  1.651  15
56.24  1.636  13

```
AcNd8Ga6
1.0
4.526 2.613 6.292
-4.526 2.613 6.292
0.000 -5.226 6.292
Ac Nd Ga
1 8 6
direct
0.000 0.000 0.000 Ac
0.113 0.780 0.445 Nd
0.220 0.555 0.887 Nd
0.333 0.333 0.333 Nd
0.445 0.113 0.780 Nd
0.555 0.887 0.220 Nd
0.667 0.667 0.667 Nd
0.780 0.445 0.113 Nd
0.887 0.220 0.555 Nd
0.058 0.400 0.715 Ga
0.285 0.942 0.600 Ga
0.400 0.715 0.058 Ga
0.600 0.285 0.942 Ga
0.715 0.058 0.400 Ga
0.942 0.600 0.285 Ga
```


Simulated X-ray diffraction stick pattern of Dy4Hf6O19 for λ = 1.5418 Å (Cu Kα), from a DFT-relaxed cell (PBE, Alexandria).

Most intense lines, 2θ = 5–70°, most intense first:
2theta  d [Å]  I/Imax
30.28  2.952  100
36.00  2.495  64
23.34  3.811  51
49.80  1.831  45
33.24  2.695  24
59.40  1.556  24
53.78  1.704  20
47.73  1.906  19
61.20  1.514  19
68.12  1.376  18

```
Dy4Hf6O19
1.0
-4.668 4.668 4.668
4.668 -4.668 4.668
4.668 4.668 -4.668
Dy Hf O
4 6 19
direct
0.000 0.000 0.709 Dy
0.000 0.709 0.000 Dy
0.291 0.291 0.291 Dy
0.709 0.000 0.000 Dy
0.171 0.671 0.500 Hf
0.329 0.500 0.829 Hf
0.500 0.171 0.671 Hf
0.500 0.829 0.329 Hf
0.671 0.500 0.171 Hf
0.829 0.329 0.500 Hf
0.000 0.000 0.000 O
0.000 0.355 0.355 O
0.000 0.645 0.645 O
0.029 0.264 0.668 O
0.235 0.971 0.639 O
0.264 0.668 0.029 O
0.332 0.596 0.361 O
0.355 0.000 0.355 O
0.355 0.355 0.000 O
0.361 0.332 0.596 O
0.404 0.736 0.765 O
0.596 0.361 0.332 O
0.639 0.235 0.971 O
0.645 0.000 0.645 O
0.645 0.645 0.000 O
0.668 0.029 0.264 O
0.736 0.765 0.404 O
0.765 0.404 0.736 O
0.971 0.639 0.235 O
```


Simulated X-ray diffraction stick pattern of Nd11Tl9Ni4 for λ = 1.5418 Å (Cu Kα), from a DFT-relaxed cell (PBE, Alexandria).

Most intense lines, 2θ = 5–70°, most intense first:
2theta  d [Å]  I/Imax
33.59  2.668  100
33.80  2.652  46
59.92  1.544  20
29.81  2.997  19
47.92  1.898  18
36.82  2.441  15
31.40  2.849  14
31.90  2.805  12
36.44  2.466  12
48.55  1.875  11

```
Nd11Tl9Ni4
1.0
7.501 -11.249 0.000
7.501 11.249 0.000
0.000 0.000 3.797
Nd Tl Ni
11 9 4
direct
0.000 0.000 0.000 Nd
0.084 0.418 0.000 Nd
0.162 0.838 0.000 Nd
0.313 0.313 0.000 Nd
0.374 0.626 0.000 Nd
0.418 0.084 0.000 Nd
0.582 0.916 0.000 Nd
0.626 0.374 0.000 Nd
0.687 0.687 0.000 Nd
0.838 0.162 0.000 Nd
0.916 0.582 0.000 Nd
0.076 0.219 0.500 Tl
0.157 0.631 0.500 Tl
0.219 0.076 0.500 Tl
0.369 0.843 0.500 Tl
0.500 0.500 0.500 Tl
0.631 0.157 0.500 Tl
0.781 0.924 0.500 Tl
0.843 0.369 0.500 Tl
0.924 0.781 0.500 Tl
0.249 0.449 0.500 Ni
0.449 0.249 0.500 Ni
0.551 0.751 0.500 Ni
0.751 0.551 0.500 Ni
```